Diffraction record for LiTbHg3S4. The powder XRD pattern is computed, not measured: it uses a DFT-relaxed cell (PBE, OQMD) and Cu Kα X-rays.
Intensities are scaled so that the largest is 100.

Atomic structure:
Cell lengths 6.374, 7.684, 11.635 Å; angles 90.00, 90.88, 90.00 degrees
Space group P2_1/m (No. 11)
Unique sites:
Li 0.234 0.250 0.386 x2
Tb 0.118 0.250 0.785 x2
Hg 0.201 0.023 0.045 x4
Hg 0.364 0.750 0.334 x2
S 0.141 0.008 0.270 x4
S 0.287 0.250 0.586 x2
S 0.455 0.250 0.944 x2

The 10 most intense peaks (10 to 80 degrees two-theta), in order of rising 2θ:
| two_theta | d_spacing | Rel. int. |
| --- | --- | --- |
| 13.82 | 6.410 | 100 |
| 15.75 | 5.626 | 37 |
| 22.93 | 3.878 | 23 |
| 24.40 | 3.648 | 42 |
| 27.10 | 3.291 | 23 |
| 27.83 | 3.206 | 34 |
| 31.12 | 2.874 | 28 |
| 33.68 | 2.661 | 35 |
| 37.56 | 2.394 | 49 |
| 48.06 | 1.893 | 32 |



Diffraction record for LiZrHg3S4. The powder XRD pattern is computed, not measured: it uses a DFT-relaxed cell (PBE, OQMD) and Cu Kα X-rays.
Intensities are scaled so that the largest is 100.

Atomic structure:
Cell lengths 7.127, 7.601, 10.083 Å; angles 90.00, 107.56, 90.00 degrees
Space group P2_1/m (No. 11)
Unique sites:
Li 0.016 0.250 0.049 x2
Zr 0.276 0.750 0.255 x2
Hg 0.191 0.040 0.488 x4
Hg 0.212 0.250 0.735 x2
S 0.041 0.511 0.190 x4
S 0.425 0.750 0.511 x2
S 0.456 0.750 0.089 x2

The 10 most intense peaks (10 to 80 degrees two-theta), in order of rising 2θ:
| two_theta | d_spacing | Rel. int. |
| --- | --- | --- |
| 14.86 | 5.963 | 100 |
| 25.20 | 3.535 | 28 |
| 26.23 | 3.397 | 28 |
| 27.68 | 3.223 | 28 |
| 29.97 | 2.981 | 58 |
| 34.53 | 2.598 | 25 |
| 36.18 | 2.483 | 46 |
| 36.68 | 2.450 | 34 |
| 37.42 | 2.403 | 26 |
| 38.82 | 2.320 | 25 |



Diffraction record for LiZrHg3Se4. The powder XRD pattern is computed, not measured: it uses a DFT-relaxed cell (PBE, OQMD) and Cu Kα X-rays.
Intensities are scaled so that the largest is 100.

Atomic structure:
Cell lengths 6.850, 6.850, 6.850 Å; angles 90.00, 90.00, 90.00 degrees
Space group P-43m (No. 215)
Unique sites:
Li 0.000 0.000 0.000 x1
Zr 0.500 0.500 0.500 x1
Hg 0.000 0.500 0.500 x3
Se 0.280 0.280 0.280 x4

The 10 most intense peaks (10 to 80 degrees two-theta), in order of rising 2θ:
| two_theta | d_spacing | Rel. int. |
| --- | --- | --- |
| 12.92 | 6.850 | 80 |
| 22.48 | 3.955 | 88 |
| 26.02 | 3.425 | 21 |
| 29.15 | 3.063 | 22 |
| 37.12 | 2.422 | 100 |
| 39.47 | 2.283 | 21 |
| 43.84 | 2.065 | 45 |
| 47.88 | 1.900 | 20 |
| 58.76 | 1.571 | 17 |
| 66.92 | 1.398 | 31 |



Diffraction record for SrLi3Hg2. The powder XRD pattern is computed, not measured: it uses a DFT-relaxed cell (PBE, OQMD) and Cu Kα X-rays.
Intensities are scaled so that the largest is 100.

Atomic structure:
Cell lengths 3.688, 3.688, 10.005 Å; angles 90.00, 90.00, 90.00 degrees
Space group P4mm (No. 99)
Unique sites:
Sr 0.000 0.000 0.000 x1
Li 0.000 0.000 0.342 x1
Li 0.500 0.500 0.490 x1
Li 0.500 0.500 0.756 x1
Hg 0.000 0.000 0.638 x1
Hg 0.500 0.500 0.208 x1

The 10 most intense peaks (10 to 80 degrees two-theta), in order of rising 2θ:
| two_theta | d_spacing | Rel. int. |
| --- | --- | --- |
| 17.73 | 5.002 | 49 |
| 25.75 | 3.460 | 100 |
| 30.11 | 2.968 | 33 |
| 34.39 | 2.608 | 50 |
| 36.32 | 2.474 | 59 |
| 38.95 | 2.312 | 29 |
| 49.43 | 1.844 | 18 |
| 56.55 | 1.627 | 24 |
| 58.11 | 1.587 | 15 |
| 62.86 | 1.478 | 24 |



What did the fourth record say?
Diffraction record for SrLi3Hg2. The powder XRD pattern is computed, not measured: it uses a DFT-relaxed cell (PBE, OQMD) and Cu Kα X-rays.
Intensities are scaled so that the largest is 100.

Atomic structure:
Cell lengths 3.688, 3.688, 10.005 Å; angles 90.00, 90.00, 90.00 degrees
Space group P4mm (No. 99)
Unique sites:
Sr 0.000 0.000 0.000 x1
Li 0.000 0.000 0.342 x1
Li 0.500 0.500 0.490 x1
Li 0.500 0.500 0.756 x1
Hg 0.000 0.000 0.638 x1
Hg 0.500 0.500 0.208 x1

The 10 most intense peaks (10 to 80 degrees two-theta), in order of rising 2θ:
| two_theta | d_spacing | Rel. int. |
| --- | --- | --- |
| 17.73 | 5.002 | 49 |
| 25.75 | 3.460 | 100 |
| 30.11 | 2.968 | 33 |
| 34.39 | 2.608 | 50 |
| 36.32 | 2.474 | 59 |
| 38.95 | 2.312 | 29 |
| 49.43 | 1.844 | 18 |
| 56.55 | 1.627 | 24 |
| 58.11 | 1.587 | 15 |
| 62.86 | 1.478 | 24 |